This entry pairs a crystal structure of ErZr3Ga2 with its simulated X-ray diffraction stick pattern. Radiation: a wavelength of 1.5418 Å. Structure: a structure optimized by DFT (GGA-PBE).

Peak list (10 most intense, 10 to 80 degrees two-theta, sorted by position)
| two_theta | d_spacing | I_rel |
| --- | --- | --- |
| 31.33 | 2.855 | 38 |
| 32.80 | 2.730 | 46 |
| 33.17 | 2.701 | 28 |
| 33.71 | 2.659 | 85 |
| 34.80 | 2.578 | 100 |
| 36.82 | 2.441 | 30 |
| 38.67 | 2.328 | 23 |
| 39.26 | 2.295 | 51 |
| 41.86 | 2.158 | 35 |
| 43.56 | 2.078 | 47 |

Atomic structure:
```
data_ErZr3Ga2
_space_group_name_H-M_alt 'C 1 2/m 1'
_space_group_IT_number 12
_cell_length_a 16.4349
_cell_length_b 4.1551
_cell_length_c 8.5058
_cell_angle_alpha 90.00
_cell_angle_beta 113.41
_cell_angle_gamma 90.00
loop_
_space_group_symop_operation_xyz
'x,y,z'
'-x,-y,-z'
'-x,y,-z'
'x,-y,z'
'x+1/2,y+1/2,z'
'-x+1/2,-y+1/2,-z'
'-x+1/2,y+1/2,-z'
'x+1/2,-y+1/2,z'
loop_
_atom_site_label
_atom_site_type_symbol
_atom_site_fract_x
_atom_site_fract_y
_atom_site_fract_z
Er1 Er 0.1182 0.0000 0.1384
Zr1 Zr 0.0546 0.0000 0.6792
Zr2 Zr 0.1402 0.5000 0.4869
Zr3 Zr 0.1894 0.5000 0.8828
Ga1 Ga 0.0070 0.5000 0.8524
Ga2 Ga 0.2407 0.0000 0.7060
```